1.
Diffraction record for Os2Cl5F5. The powder diffraction line list is computed, not measured: it uses a DFT-relaxed cell (PBE, Alexandria) and Cu Ka.
Lines closer than 0.1° are merged.

Top 10 peaks for 15 to 90 degrees two-theta, by angle:
- 2θ 17.7, intensity 100.0, (0 0 2)
- 2θ 24.0, intensity 48.6, (0 2 -1)
- 2θ 24.3, intensity 33.4, (0 1 2)
- 2θ 26.0, intensity 68.9, (1 -1 0)
- 2θ 26.2, intensity 28.0, (0 1 -3)
- 2θ 28.7, intensity 28.7, (0 2 1)
- 2θ 31.0, intensity 36.3, (1 1 -1)
- 2θ 31.7, intensity 31.3, (1 -2 1)
- 2θ 34.6, intensity 31.3, (0 2 2)
- 2θ 51.6, intensity 24.2, (1 3 0)

```
Os2Cl5F5
1.0
3.530 0.000 0.000
-1.656 7.447 0.000
-0.547 -2.843 9.999
Os Cl F
2 5 5
direct
0.000 0.000 0.000
0.169 0.235 0.419
0.018 0.971 0.223
0.314 0.488 0.582
0.601 0.206 0.032
0.620 0.103 0.503
0.944 0.947 0.778
0.324 0.433 0.742
0.383 0.692 0.434
0.416 0.827 0.981
0.697 0.324 0.334
0.901 0.728 0.444
```

2.
Diffraction record for BaMgCd2Br8. The powder diffraction line list is computed, not measured: it uses a DFT-relaxed cell (PBE, Alexandria) and Cu Ka.
Lines closer than 0.1° are merged.

Top 10 peaks for 15 to 90 degrees two-theta, by angle:
- 2θ 17.5, intensity 29.6, (1 0 1)
- 2θ 25.6, intensity 25.3, (1 1 0)
- 2θ 27.3, intensity 100.0, (1 1 1)
- 2θ 28.5, intensity 46.1, (0 0 3)
- 2θ 31.2, intensity 28.1, (0 2 1)
- 2θ 32.0, intensity 43.5, (2 -1 2)
- 2θ 35.4, intensity 18.4, (2 0 2)
- 2θ 45.1, intensity 46.1, (3 0 0)
- 2θ 46.6, intensity 44.0, (1 1 4)
- 2θ 54.2, intensity 34.3, (3 0 3)

```
BaMgCd2Br8
1.0
6.957 0.000 0.000
-3.479 6.025 0.000
0.000 0.000 9.403
Ba Mg Cd Br
1 1 2 8
direct
0.000 0.000 0.000
0.000 0.000 0.500
0.333 0.667 0.725
0.667 0.333 0.275
0.031 0.715 0.323
0.285 0.316 0.323
0.316 0.031 0.677
0.333 0.667 0.004
0.667 0.333 0.996
0.684 0.969 0.323
0.715 0.684 0.677
0.969 0.285 0.677
```